# MgTaBe17
Calculated powder diffraction line list, Cu Kα (λ = 1.5418 Å). Input: a crystal structure in Alexandria, relaxed with PBE.

The 10 most intense peaks (10° ≤ 2θ ≤ 90°), by intensity:
two_theta  d (Å)  Rel. int.
16.06  5.520  100
21.49  4.135  50
24.01  3.707  50
34.72  2.584  49
29.02  3.077  27
49.54  1.840  27
38.00  2.368  26
40.76  2.214  22
32.44  2.760  19
42.23  2.140  18

Structural model:
```
data_MgTaBe17
_chemical_formula_sum 'Mg1 Ta1 Be17'
_symmetry_space_group_name_H-M 'P 1'
_symmetry_Int_Tables_number 1
_symmetry_space_group_name_Hall 'P 1'
_cell_length_a 5.595
_cell_length_b 5.595
_cell_length_c 5.595
_cell_angle_alpha 82.97
_cell_angle_beta 82.97
_cell_angle_gamma 82.97
loop_
_atom_site_label
_atom_site_type_symbol
_atom_site_fract_x
_atom_site_fract_y
_atom_site_fract_z
Mg1 Mg 0.000 0.000 0.000
Ta1 Ta 0.682 0.682 0.682
Be1 Be 0.052 0.345 0.639
Be2 Be 0.052 0.639 0.345
Be3 Be 0.188 0.689 0.689
Be4 Be 0.249 0.249 0.249
Be5 Be 0.345 0.052 0.639
Be6 Be 0.345 0.639 0.052
Be7 Be 0.354 0.354 0.843
Be8 Be 0.354 0.843 0.354
Be9 Be 0.446 0.446 0.446
Be10 Be 0.506 0.999 0.999
Be11 Be 0.639 0.052 0.345
Be12 Be 0.639 0.345 0.052
Be13 Be 0.689 0.188 0.689
Be14 Be 0.689 0.689 0.188
Be15 Be 0.843 0.354 0.354
Be16 Be 0.999 0.506 0.999
Be17 Be 0.999 0.999 0.506
```